Starting from a crystal structure in the Materials Project, relaxed with PBE, the X-ray diffraction stick pattern of Rb2SrP2O7 was calculated for CuKα.
Peak positions follow from Bragg's law for the DFT cell and can differ from measured ones.

Largest 8 diffraction maxima, in order of rising 2θ, 2θ from 10° to 90°:
(hkl)  2theta  d_spacing  I/Imax
1 1 -3  24.7  3.598  46
2 0 2  25.4  3.512  28
2 0 -4  27.9  3.197  47
1 1 3  28.7  3.106  79
3 1 -1  29.8  2.998  100
0 2 0  30.0  2.980  44
2 2 2  39.7  2.272  33
3 1 5  52.5  1.742  27

Structure:
Lattice parameters (Å, degrees): 10.416 5.959 13.708 90.00 106.77 90.00
Space group C2/c (No. 15)
Inequivalent atoms, fractional coordinates:
Rb1 0.147 0.221 0.164
Sr1 0.250 0.250 0.500
P1 0.027 0.273 0.865
O1 0.000 0.161 0.750
O2 0.102 0.495 0.866
O3 0.110 0.090 0.933
O4 0.114 0.303 0.622